Ba2LiV2Si4O14: simulated powder XRD pattern (Cu Kα (weighted mean of Kα1 and Kα2)), based on the PBE+U geometry in Alexandria.

Principal peaks in the range 2θ from 10° to 90°, sorted by position:
index, two_theta, d (Å), I/Imax
0 0 1, 11.47, 7.717, 47.2
1 1 -1, 21.19, 4.193, 34.4
0 1 -2, 25.93, 3.436, 27.6
1 -1 1, 26.35, 3.382, 64.8
1 1 -2, 26.75, 3.332, 35.5
1 1 1, 26.88, 3.317, 100.0
-1 2 1, 29.98, 2.981, 27.7
2 0 -1, 32.53, 2.753, 51.2
-2 1 3, 42.36, 2.134, 44.3
0 4 0, 50.26, 1.815, 33.0

Cell and atoms:
abc: 5.5061 7.2633 8.1693
angles: 90.82 109.12 90.84
Space group P1 (No. 1)
Symmetry-distinct sites (fractional):
Ba  0.0000  0.0000  0.0000 x1
Ba  0.4088  0.5057  0.8122 x1
Li  0.0834  0.2461  0.4133 x1
V  0.0890  0.5121  0.1800 x1
V  0.3247  0.9877  0.6106 x1
Si  0.5854  0.2324  0.1898 x1
Si  0.5994  0.7827  0.2004 x1
Si  0.8018  0.2812  0.6100 x1
Si  0.8154  0.7282  0.6153 x1
O  0.0922  0.2069  0.6663 x1
O  0.1064  0.8096  0.7010 x1
O  0.1930  0.0181  0.3777 x1
O  0.1928  0.4996  0.3930 x1
O  0.3013  0.3192  0.1011 x1
O  0.3094  0.6933  0.1097 x1
O  0.5686  0.0058  0.1425 x1
O  0.6098  0.1910  0.7004 x1
O  0.6191  0.8078  0.7079 x1
O  0.6959  0.2692  0.3972 x1
O  0.7031  0.7542  0.4067 x1
O  0.8010  0.6943  0.1114 x1
O  0.8021  0.3173  0.1110 x1
O  0.8303  0.5046  0.6656 x1